(1)
# LaSm2DyHo
Simulated XRD peak list, CuKα. Input: a structure optimized by DFT (PBE).

```
data_LaSm2DyHo
_cell_length_a 3.6558
_cell_length_b 5.6393
_cell_length_c 8.6295
_cell_angle_alpha 90.00
_cell_angle_beta 90.10
_cell_angle_gamma 90.00
_symmetry_space_group_name_H-M 'P 1 2/m 1'
_symmetry_Int_Tables_number 10
_symmetry_space_group_name_Hall '-P 2y'
loop_
_atom_site_label
_atom_site_type_symbol
_atom_site_fract_x
_atom_site_fract_y
_atom_site_fract_z
La1 La 0.0000 0.0000 0.0000
Sm1 Sm 0.0006 0.5000 0.3213
Dy1 Dy 0.5000 0.5000 0.0000
Ho1 Ho 0.5000 0.0000 0.5000
```

Most intense lines, 2θ from 15° to 90°, by angle:
Position (°2θ), d (Å), Rel. int.
26.0, 3.427, 24
30.9, 2.890, 100
31.7, 2.820, 39
35.0, 2.562, 24
35.9, 2.500, 20
61.7, 1.504, 19

---

(2)
# PuAl6Ir3
Simulated XRD peak list, CuKα. Input: a structure optimized by DFT (PBE).

```
data_PuAl6Ir3
_cell_length_a 8.0356
_cell_length_b 4.2209
_cell_length_c 9.9797
_cell_angle_alpha 90.00
_cell_angle_beta 97.69
_cell_angle_gamma 90.00
_symmetry_space_group_name_H-M 'P 1 21/m 1'
_symmetry_Int_Tables_number 11
_symmetry_space_group_name_Hall '-P 2yb'
loop_
_atom_site_label
_atom_site_type_symbol
_atom_site_fract_x
_atom_site_fract_y
_atom_site_fract_z
Pu1 Pu 0.0579 0.2500 0.2709
Al1 Al 0.1276 0.2500 0.5906
Al2 Al 0.1384 0.7500 0.0229
Al3 Al 0.3184 0.7500 0.7541
Al4 Al 0.3284 0.7500 0.2684
Al5 Al 0.4236 0.2500 0.4335
Al6 Al 0.4602 0.2500 0.9149
Ir1 Ir 0.1476 0.2500 0.8613
Ir2 Ir 0.2480 0.7500 0.4962
Ir3 Ir 0.3717 0.2500 0.1463
```

Most intense lines, 2θ from 15° to 90°, by angle:
Position (°2θ), d (Å), Rel. int.
26.1, 3.420, 50
26.8, 3.326, 83
30.9, 2.892, 88
40.1, 2.247, 100
42.6, 2.123, 66
42.9, 2.110, 57

---

(3)
# Na3Tl7In2
Simulated XRD peak list, CuKα. Input: a structure optimized by DFT (PBE).

```
data_Na3Tl7In2
_cell_length_a 6.0482
_cell_length_b 6.1922
_cell_length_c 10.1981
_cell_angle_alpha 93.72
_cell_angle_beta 94.55
_cell_angle_gamma 113.08
_symmetry_space_group_name_H-M 'P -1'
_symmetry_Int_Tables_number 2
_symmetry_space_group_name_Hall '-P 1'
loop_
_atom_site_label
_atom_site_type_symbol
_atom_site_fract_x
_atom_site_fract_y
_atom_site_fract_z
Na1 Na 0.0000 0.0000 0.0000
Na2 Na 0.1631 0.1623 0.3446
Tl1 Tl 0.0822 0.5836 0.1708
Tl2 Tl 0.2611 0.7397 0.5009
Tl3 Tl 0.4155 0.9186 0.8309
Tl4 Tl 0.5000 0.5000 0.0000
In1 In 0.3361 0.3375 0.6726
```

Most intense lines, 2θ from 15° to 90°, by angle:
Position (°2θ), d (Å), Rel. int.
17.4, 5.104, 40
31.7, 2.827, 52
31.9, 2.801, 100
32.6, 2.747, 49
34.0, 2.635, 43
35.2, 2.552, 39

---

(4)
# TmCd6Ag5
Simulated XRD peak list, CuKα. Input: a structure optimized by DFT (PBE).

```
data_TmCd6Ag5
_cell_length_a 4.5915
_cell_length_b 8.3979
_cell_length_c 12.7128
_cell_angle_alpha 90.00
_cell_angle_beta 90.00
_cell_angle_gamma 90.00
_symmetry_space_group_name_H-M 'I m m m'
_symmetry_Int_Tables_number 71
_symmetry_space_group_name_Hall '-I 2 2'
loop_
_atom_site_label
_atom_site_type_symbol
_atom_site_fract_x
_atom_site_fract_y
_atom_site_fract_z
Tm1 Tm 0.0000 0.0000 0.0000
Cd1 Cd 0.0000 0.2241 0.5000
Cd2 Cd 0.0000 0.2744 0.1693
Ag1 Ag 0.0000 0.0000 0.3100
Ag2 Ag 0.0000 0.5000 0.0000
Ag3 Ag 0.0000 0.5000 0.3451
```

Most intense lines, 2θ from 15° to 90°, by angle:
Position (°2θ), d (Å), Rel. int.
35.9, 2.501, 100
39.2, 2.296, 20
42.7, 2.119, 14
43.1, 2.099, 13
59.4, 1.557, 10
69.0, 1.362, 14

---

(5)
# LaSmIn
Simulated XRD peak list, CuKα. Input: a structure optimized by DFT (PBE).

```
data_LaSmIn
_cell_length_a 4.7196
_cell_length_b 4.7196
_cell_length_c 8.7366
_cell_angle_alpha 90.00
_cell_angle_beta 90.00
_cell_angle_gamma 90.00
_symmetry_space_group_name_H-M 'P 4/n m m'
_symmetry_Int_Tables_number 129
loop_
_symmetry_equiv_pos_as_xyz
'x,y,z'
'-x,-y,-z'
'-y+1/2,x,z'
'y+1/2,-x,-z'
'-x+1/2,-y+1/2,z'
'x+1/2,y+1/2,-z'
'y,-x+1/2,z'
'-y,x+1/2,-z'
'x+1/2,-y,-z'
'-x+1/2,y,z'
'-y,-x,-z'
'y,x,z'
'-x,y+1/2,-z'
'x,-y+1/2,z'
'y+1/2,x+1/2,-z'
'-y+1/2,-x+1/2,z'
loop_
_atom_site_label
_atom_site_type_symbol
_atom_site_fract_x
_atom_site_fract_y
_atom_site_fract_z
La1 La 0.2500 0.7500 0.0000
Sm1 Sm 0.2500 0.2500 0.3620
In1 In 0.2500 0.2500 0.7228
```

Most intense lines, 2θ from 15° to 90°, by angle:
Position (°2θ), d (Å), Rel. int.
28.6, 3.118, 100
30.7, 2.912, 34
33.8, 2.652, 74
36.2, 2.478, 27
38.1, 2.360, 59
49.7, 1.833, 35

---

(6)
# U2Ni9Rh
Simulated XRD peak list, CuKα. Input: a structure optimized by DFT (PBE).

```
data_U2Ni9Rh
_cell_length_a 3.8226
_cell_length_b 3.8226
_cell_length_c 10.9208
_cell_angle_alpha 90.00
_cell_angle_beta 90.00
_cell_angle_gamma 90.00
_symmetry_space_group_name_H-M 'P 4/m m m'
_symmetry_Int_Tables_number 123
_symmetry_space_group_name_Hall '-P 4 2'
loop_
_atom_site_label
_atom_site_type_symbol
_atom_site_fract_x
_atom_site_fract_y
_atom_site_fract_z
U1 U 0.0000 0.0000 0.1817
Ni1 Ni 0.0000 0.5000 0.0000
Ni2 Ni 0.0000 0.5000 0.3402
Ni3 Ni 0.5000 0.5000 0.1680
Ni4 Ni 0.5000 0.5000 0.5000
Rh1 Rh 0.0000 0.0000 0.5000
```

Most intense lines, 2θ from 15° to 90°, by angle:
Position (°2θ), d (Å), Rel. int.
23.3, 3.823, 23
34.0, 2.636, 16
41.6, 2.170, 100
47.6, 1.911, 35
71.6, 1.318, 17
84.4, 1.147, 25

---

(7)
# Hf2AlTlPt
Simulated XRD peak list, CuKα. Input: a structure optimized by DFT (PBE).

```
data_Hf2AlTlPt
_cell_length_a 4.9598
_cell_length_b 4.9598
_cell_length_c 4.7931
_cell_angle_alpha 90.00
_cell_angle_beta 90.00
_cell_angle_gamma 90.00
_symmetry_space_group_name_H-M 'P 4/m m m'
_symmetry_Int_Tables_number 123
_symmetry_space_group_name_Hall '-P 4 2'
loop_
_atom_site_label
_atom_site_type_symbol
_atom_site_fract_x
_atom_site_fract_y
_atom_site_fract_z
Hf1 Hf 0.0000 0.5000 0.0000
Al1 Al 0.0000 0.0000 0.0000
Tl1 Tl 0.0000 0.0000 0.5000
Pt1 Pt 0.5000 0.5000 0.5000
```

Most intense lines, 2θ from 15° to 90°, by angle:
Position (°2θ), d (Å), Rel. int.
31.6, 2.830, 100
36.2, 2.480, 40
37.5, 2.397, 18
52.2, 1.754, 14
53.1, 1.723, 27
62.3, 1.491, 30

---

(8)
# La2Pm2PrY
Simulated XRD peak list, CuKα. Input: a structure optimized by DFT (PBE).

```
data_La2Pm2PrY
_cell_length_a 7.1930
_cell_length_b 5.8193
_cell_length_c 10.0475
_cell_angle_alpha 90.00
_cell_angle_beta 90.00
_cell_angle_gamma 90.00
_symmetry_space_group_name_H-M 'P m m a'
_symmetry_Int_Tables_number 51
_symmetry_space_group_name_Hall '-P 2a 2a'
loop_
_atom_site_label
_atom_site_type_symbol
_atom_site_fract_x
_atom_site_fract_y
_atom_site_fract_z
La1 La 0.0000 0.0000 0.0000
La2 La 0.2500 0.5000 0.1733
Pm1 Pm 0.2500 0.0000 0.3330
Pm2 Pm 0.2500 0.5000 0.8346
Pr1 Pr 0.2500 0.0000 0.6613
Y1 Y 0.0000 0.5000 0.5000
```

Most intense lines, 2θ from 15° to 90°, by angle:
Position (°2θ), d (Å), Rel. int.
30.6, 2.926, 84
30.8, 2.905, 100
43.9, 2.062, 31
54.6, 1.682, 22
54.7, 1.679, 24
60.6, 1.529, 29

---

(9)
# Li3AcGa3
Simulated XRD peak list, CuKα. Input: a structure optimized by DFT (PBE).

```
data_Li3AcGa3
_cell_length_a 7.2572
_cell_length_b 7.2572
_cell_length_c 18.7632
_cell_angle_alpha 90.00
_cell_angle_beta 90.00
_cell_angle_gamma 120.00
_symmetry_space_group_name_H-M 'R -3 m'
_symmetry_Int_Tables_number 166
_symmetry_space_group_name_Hall '-R 3 2"'
loop_
_atom_site_label
_atom_site_type_symbol
_atom_site_fract_x
_atom_site_fract_y
_atom_site_fract_z
Li1 Li 0.0840 0.5420 0.3525
Ac1 Ac 0.0000 0.0000 0.1306
Ga1 Ga 0.0814 0.5407 0.1042
```

Most intense lines, 2θ from 15° to 90°, by angle:
Position (°2θ), d (Å), Rel. int.
23.7, 3.759, 61
24.5, 3.629, 56
28.4, 3.139, 59
28.8, 3.099, 81
34.3, 2.611, 100
37.3, 2.409, 48

---

(10)
# K4VTe4
Simulated XRD peak list, CuKα. Input: a structure optimized by DFT (PBE).

```
data_K4VTe4
_cell_length_a 8.1742
_cell_length_b 8.1742
_cell_length_c 13.7769
_cell_angle_alpha 90.00
_cell_angle_beta 90.00
_cell_angle_gamma 90.00
_symmetry_space_group_name_H-M 'I -4 2 m'
_symmetry_Int_Tables_number 121
_symmetry_space_group_name_Hall 'I -4 2'
loop_
_atom_site_label
_atom_site_type_symbol
_atom_site_fract_x
_atom_site_fract_y
_atom_site_fract_z
K1 K 0.0000 0.0000 0.1939
K2 K 0.0000 0.5000 0.0000
V1 V 0.0000 0.0000 0.5000
Te1 Te 0.1825 0.1825 0.3894
```

Most intense lines, 2θ from 15° to 90°, by angle:
Position (°2θ), d (Å), Rel. int.
20.1, 4.428, 100
25.2, 3.533, 36
30.9, 2.890, 18
31.3, 2.860, 47
33.5, 2.673, 19
34.0, 2.634, 31

---

(11)
# Tl3Hg7
Simulated XRD peak list, CuKα. Input: a structure optimized by DFT (PBE).

```
data_Tl3Hg7
_cell_length_a 11.2634
_cell_length_b 11.2634
_cell_length_c 5.4009
_cell_angle_alpha 90.00
_cell_angle_beta 90.00
_cell_angle_gamma 120.00
_symmetry_space_group_name_H-M 'P 63 m c'
_symmetry_Int_Tables_number 186
_symmetry_space_group_name_Hall 'P 6c -2c'
loop_
_atom_site_label
_atom_site_type_symbol
_atom_site_fract_x
_atom_site_fract_y
_atom_site_fract_z
Tl1 Tl 0.1997 0.3994 0.0000
Hg1 Hg 0.0709 0.5354 0.3729
Hg2 Hg 0.1040 0.2080 0.5100
Hg3 Hg 0.3333 0.6667 0.6662
```

Most intense lines, 2θ from 15° to 90°, by angle:
Position (°2θ), d (Å), Rel. int.
27.4, 3.251, 18
29.3, 3.045, 24
31.8, 2.816, 17
32.1, 2.786, 100
33.2, 2.702, 18
48.5, 1.877, 21

---

(12)
# TbPm6Tm2Mg
Simulated XRD peak list, CuKα. Input: a structure optimized by DFT (PBE).

```
data_TbPm6Tm2Mg
_cell_length_a 9.3080
_cell_length_b 15.1472
_cell_length_c 9.2765
_cell_angle_alpha 90.00
_cell_angle_beta 94.76
_cell_angle_gamma 90.00
_symmetry_space_group_name_H-M 'C 1 2/c 1'
_symmetry_Int_Tables_number 15
_symmetry_space_group_name_Hall '-C 2yc'
loop_
_atom_site_label
_atom_site_type_symbol
_atom_site_fract_x
_atom_site_fract_y
_atom_site_fract_z
Tb1 Tb 0.0000 0.0282 0.2500
Pm1 Pm 0.0490 0.1746 0.9475
Pm2 Pm 0.1016 0.3895 0.1046
Pm3 Pm 0.2222 0.2167 0.3027
Tm1 Tm 0.2435 0.4479 0.4468
Mg1 Mg 0.0000 0.4180 0.7500
```

Most intense lines, 2θ from 15° to 90°, by angle:
Position (°2θ), d (Å), Rel. int.
28.4, 3.139, 80
30.3, 2.950, 95
30.8, 2.905, 100
31.3, 2.854, 85
31.5, 2.839, 60
32.3, 2.770, 50